Entry 1:
For Li2VCrP4O14, a crystal structure in the Materials Project, relaxed with PBE+U gives the computed PXRD pattern in this record (copper Kα).
Kinematic intensities with the Lorentz-polarization factor, no thermal factor.

Peak list (10 most intense, 2θ = 10–80°, in order of rising 2θ)
Position (°2θ)	Rel. int.
17.15	100
22.10	21
22.40	47
25.47	18
26.83	24
28.98	31
29.34	59
29.68	28
34.70	17
43.27	15

Crystal structure
a b c (Å): 7.0235 8.2208 9.7373
angles (deg): 90.00 108.73 90.00
Fractional positions:
Li 0.1772 0.0000 0.0881
Li 0.1767 0.0000 0.5885
Li 0.8233 0.5000 0.4115
Li 0.8228 0.5000 0.9119
V 0.2289 0.6364 0.1081
V 0.7711 0.1364 0.8919
Cr 0.2280 0.6369 0.6071
Cr 0.7720 0.1369 0.3929
P 0.0213 0.3167 0.2005
P 0.0229 0.3176 0.6996
P 0.4144 0.4200 0.3945
P 0.4141 0.4217 0.8932
P 0.5856 0.9200 0.6055
P 0.5859 0.9217 0.1068
P 0.9771 0.8176 0.3004
P 0.9787 0.8167 0.7995
O 0.0051 0.4811 0.1240
O 0.0093 0.4832 0.6238
O 0.0177 0.6740 0.9067
O 0.0184 0.6749 0.4071
O 0.1057 0.8167 0.1995
O 0.1067 0.8153 0.6985
O 0.2535 0.2887 0.7973
O 0.2535 0.2887 0.2973
O 0.3513 0.4601 0.0253
O 0.3544 0.4602 0.5270
O 0.3840 0.8301 0.5654
O 0.3846 0.8336 0.0649
O 0.4162 0.5717 0.8002
O 0.4195 0.5706 0.3021
O 0.5805 0.0706 0.6979
O 0.5838 0.0717 0.1998
O 0.6154 0.3336 0.9351
O 0.6160 0.3301 0.4346
O 0.6456 0.9602 0.4730
O 0.6487 0.9601 0.9747
O 0.7465 0.7887 0.7027
O 0.7465 0.7887 0.2027
O 0.8933 0.3153 0.3015
O 0.8943 0.3167 0.8005
O 0.9823 0.1740 0.0933
O 0.9816 0.1749 0.5929
O 0.9907 0.9832 0.3762
O 0.9949 0.9811 0.8760

=====

Entry 2:
For Na2UMo3O12, a crystal structure in the Materials Project, relaxed with PBE+U gives the computed PXRD pattern in this record (copper Kα).
Kinematic intensities with the Lorentz-polarization factor, no thermal factor.

Peak list (10 most intense, 2θ = 10–80°, in order of rising 2θ)
Position (°2θ)	Rel. int.
14.61	30
15.81	14
17.16	21
28.37	100
30.71	13
33.91	18
46.39	31
48.71	13
53.16	17
57.33	27

Crystal structure
a b c (Å): 6.9221 6.9221 11.8133
angles (deg): 99.84 99.84 114.55
Fractional positions:
Na 0.0404 0.2913 0.0801
Na 0.2913 0.0404 0.5801
Na 0.7087 0.9596 0.4199
Na 0.9596 0.7087 0.9199
U 0.3774 0.6226 0.7500
U 0.6226 0.3774 0.2500
Mo 0.1255 0.8745 0.2500
Mo 0.2072 0.4574 0.4137
Mo 0.4574 0.2072 0.9137
Mo 0.5426 0.7928 0.0863
Mo 0.7928 0.5426 0.5863
Mo 0.8745 0.1255 0.7500
O 0.0038 0.5710 0.7128
O 0.1136 0.1930 0.4381
O 0.1153 0.6883 0.1236
O 0.1498 0.2485 0.7204
O 0.1930 0.1136 0.9381
O 0.2473 0.6439 0.5560
O 0.2485 0.1498 0.2204
O 0.3117 0.8847 0.3764
O 0.3561 0.7527 0.9440
O 0.4290 0.9962 0.7872
O 0.4567 0.5265 0.1206
O 0.4735 0.5433 0.3794
O 0.5265 0.4567 0.6206
O 0.5433 0.4735 0.8794
O 0.5710 0.0038 0.2128
O 0.6439 0.2473 0.0560
O 0.6883 0.1153 0.6236
O 0.7515 0.8502 0.7796
O 0.7527 0.3561 0.4440
O 0.8070 0.8864 0.0619
O 0.8502 0.7515 0.2796
O 0.8847 0.3117 0.8764
O 0.8864 0.8070 0.5619
O 0.9962 0.4290 0.2872

=====

Entry 3:
For Li9Mn2Co5O16, a crystal structure in the Materials Project, relaxed with PBE+U gives the computed PXRD pattern in this record (copper Kα).
Kinematic intensities with the Lorentz-polarization factor, no thermal factor.

Peak list (10 most intense, 2θ = 10–80°, in order of rising 2θ)
Position (°2θ)	Rel. int.
18.46	100
34.98	18
36.80	23
37.45	8
42.06	31
44.71	51
58.83	9
62.98	15
63.09	8
63.21	7

Crystal structure
a b c (Å): 5.9053 5.9116 8.5954
angles (deg): 70.54 87.97 86.71
Fractional positions:
Li 0.0000 0.0000 0.0000
Li 0.0008 0.2498 0.5010
Li 0.2448 0.6371 0.2433
Li 0.2469 0.1205 0.2443
Li 0.5003 0.4999 0.0001
Li 0.5015 0.0006 0.0000
Li 0.7549 0.3639 0.7582
Li 0.7561 0.8790 0.7554
Li 0.9991 0.7494 0.5017
Mn 0.0001 0.5005 0.9995
Mn 0.5012 0.2505 0.5011
Co 0.2423 0.3642 0.7529
Co 0.2478 0.8777 0.7520
Co 0.4996 0.7519 0.4990
Co 0.7559 0.1252 0.2499
Co 0.7581 0.6362 0.2457
O 0.0034 0.6001 0.7601
O 0.0198 0.1087 0.7489
O 0.2283 0.7331 0.9860
O 0.2440 0.2694 0.9865
O 0.2604 0.4822 0.5117
O 0.2826 0.0106 0.5078
O 0.4819 0.6485 0.7314
O 0.4954 0.1451 0.7406
O 0.5094 0.8540 0.2639
O 0.5159 0.3559 0.2648
O 0.7197 0.4939 0.4902
O 0.7390 0.0162 0.4911
O 0.7561 0.7316 0.0121
O 0.7724 0.2647 0.0149
O 0.9806 0.8849 0.2563
O 0.9964 0.4023 0.2367

=====

Entry 4:
For Li10MnSi2O10, a crystal structure in the Materials Project, relaxed with PBE+U gives the computed PXRD pattern in this record (copper Kα).
Kinematic intensities with the Lorentz-polarization factor, no thermal factor.

Peak list (10 most intense, 2θ = 10–80°, in order of rising 2θ)
Position (°2θ)	Rel. int.
19.36	55
20.84	65
22.50	100
22.80	38
25.55	29
28.90	32
33.11	71
34.46	35
35.25	36
49.66	35

Crystal structure
a b c (Å): 15.3749 15.3749 5.1750
angles (deg): 99.63 99.63 22.96
Fractional positions:
Li 0.0088 0.0088 0.2562
Li 0.0623 0.5471 0.4004
Li 0.1437 0.7246 0.0996
Li 0.1522 0.5840 0.7656
Li 0.1755 0.1755 0.9285
Li 0.2309 0.2309 0.3234
Li 0.2754 0.8563 0.9004
Li 0.3675 0.3675 0.2181
Li 0.4160 0.8478 0.2344
Li 0.4529 0.9377 0.5996
Li 0.5471 0.0623 0.4004
Li 0.5840 0.1522 0.7656
Li 0.6325 0.6325 0.7819
Li 0.7246 0.1437 0.0996
Li 0.7691 0.7691 0.6766
Li 0.8245 0.8245 0.0715
Li 0.8478 0.4160 0.2344
Li 0.8563 0.2754 0.9004
Li 0.9377 0.4529 0.5996
Li 0.9912 0.9912 0.7438
Mn 0.4622 0.4622 0.7962
Mn 0.5377 0.5377 0.2038
Si 0.1004 0.1004 0.5059
Si 0.2804 0.2804 0.8717
Si 0.7196 0.7196 0.1283
Si 0.8996 0.8996 0.4941
O 0.0505 0.0505 0.5986
O 0.0806 0.5310 0.7846
O 0.0880 0.6530 0.3799
O 0.0956 0.0956 0.1813
O 0.2284 0.2284 0.7191
O 0.2536 0.7464 0.0000
O 0.2858 0.2858 0.1929
O 0.3470 0.9120 0.6201
O 0.4072 0.4072 0.9535
O 0.4690 0.9194 0.2154
O 0.5310 0.0806 0.7846
O 0.5928 0.5928 0.0465
O 0.6530 0.0880 0.3799
O 0.7142 0.7142 0.8071
O 0.7464 0.2536 0.0000
O 0.7716 0.7716 0.2809
O 0.9044 0.9044 0.8187
O 0.9120 0.3470 0.6201
O 0.9194 0.4690 0.2154
O 0.9495 0.9495 0.4014

=====

Entry 5:
For Ba2V2O5, a crystal structure in the Materials Project, relaxed with PBE+U gives the computed PXRD pattern in this record (copper Kα).
Kinematic intensities with the Lorentz-polarization factor, no thermal factor.

Peak list (10 most intense, 2θ = 10–80°, in order of rising 2θ)
Position (°2θ)	Rel. int.
21.98	19
30.83	100
31.28	39
38.19	27
43.50	15
44.82	28
54.55	17
55.39	37
64.24	17
65.25	8

Crystal structure
a b c (Å): 9.2518 9.2518 4.0446
angles (deg): 90.02 90.02 51.84
Fractional positions:
Ba 0.0003 0.4999 0.0025
Ba 0.2497 0.7503 0.0000
Ba 0.4999 0.0003 0.0025
Ba 0.7503 0.2497 0.0000
V 0.1190 0.1190 0.4976
V 0.3813 0.3813 0.4975
V 0.6190 0.6190 0.4979
V 0.8809 0.8809 0.4982
O 0.0001 0.0001 0.5245
O 0.1154 0.6146 0.5152
O 0.1359 0.1359 0.0209
O 0.3644 0.3644 0.0206
O 0.3852 0.8857 0.5160
O 0.5001 0.5001 0.5272
O 0.6146 0.1154 0.5152
O 0.6359 0.6359 0.0218
O 0.8637 0.8637 0.0199
O 0.8857 0.3852 0.5160

=====

Entry 6:
For Li5Ni2O2F5, a crystal structure in the Materials Project, relaxed with PBE+U gives the computed PXRD pattern in this record (copper Kα).
Kinematic intensities with the Lorentz-polarization factor, no thermal factor.

Peak list (10 most intense, 2θ = 10–80°, in order of rising 2θ)
Position (°2θ)	Rel. int.
12.24	51
31.95	25
34.33	40
37.31	10
41.74	30
43.76	100
44.20	16
46.42	9
58.80	9
63.61	54

Crystal structure
a b c (Å): 14.6098 14.6098 14.6098
angles (deg): 168.50 168.50 16.29
Fractional positions:
Li 0.0000 0.0000 0.0000
Li 0.1413 0.1413 0.0000
Li 0.4302 0.4302 0.0000
Li 0.5698 0.5698 0.0000
Li 0.8587 0.8587 0.0000
Ni 0.2857 0.2857 0.0000
Ni 0.7143 0.7143 0.0000
O 0.2128 0.2128 0.0000
O 0.7872 0.7872 0.0000
F 0.0701 0.0701 0.0000
F 0.3607 0.3607 0.0000
F 0.5000 0.5000 0.0000
F 0.6393 0.6393 0.0000
F 0.9299 0.9299 0.0000

=====

Question: Which formula does entry 2 have?
Answer: Na2UMo3O12